Structure and calculated X-ray diffraction stick pattern of Ba3BBr3O3 (a crystal structure in the Materials Project, relaxed with PBE; Cu Kα).
Peak positions follow from Bragg's law for the DFT cell and can differ from measured ones.

```
Ba3BBr3O3
1.0
9.401 0.000 0.000
-4.168 8.477 0.000
-1.903 -1.594 12.955
Ba B Br O
12 4 12 12
direct
0.118 0.473 0.249 Ba
0.140 0.004 0.894 Ba
0.225 0.951 0.576 Ba
0.255 0.576 0.979 Ba
0.327 0.990 0.234 Ba
0.339 0.512 0.643 Ba
0.661 0.488 0.357 Ba
0.673 0.010 0.766 Ba
0.745 0.424 0.021 Ba
0.775 0.049 0.424 Ba
0.860 0.996 0.106 Ba
0.882 0.527 0.751 Ba
0.077 0.758 0.052 B
0.237 0.741 0.741 B
0.763 0.259 0.259 B
0.923 0.242 0.948 B
0.000 0.500 0.500 Br
0.022 0.149 0.657 Br
0.288 0.287 0.411 Br
0.363 0.312 0.107 Br
0.384 0.791 0.426 Br
0.447 0.264 0.791 Br
0.500 0.000 0.000 Br
0.553 0.736 0.209 Br
0.616 0.209 0.574 Br
0.637 0.688 0.893 Br
0.712 0.713 0.589 Br
0.978 0.851 0.343 Br
0.016 0.678 0.952 O
0.079 0.903 0.077 O
0.134 0.811 0.740 O
0.150 0.696 0.126 O
0.198 0.595 0.780 O
0.370 0.806 0.692 O
0.630 0.194 0.308 O
0.802 0.405 0.220 O
0.850 0.304 0.874 O
0.866 0.189 0.260 O
0.921 0.097 0.923 O
0.984 0.322 0.048 O
```

Main lines, low angle first (15 to 90 degrees two-theta):
21.1°, I = 27, hkl 0 2 0
21.4°, I = 15, hkl 2 0 0
26.2°, I = 22, hkl -2 1 3
26.9°, I = 27, hkl 2 -2 2
27.5°, I = 33, hkl 1 -2 3
28.5°, I = 42, hkl -1 2 3
30.1°, I = 100, hkl 2 1 1
30.4°, I = 33, hkl 1 -1 4
31.2°, I = 26, hkl 3 -2 1
31.9°, I = 50, hkl 1 2 -3